1.
The following is a theoretical PXRD pattern of PrEr2Au4. It was derived from a structure optimized by DFT (PBE), using copper Kα.
Lines closer than 0.1° are merged.

Cell and atoms:
Cell lengths 5.075, 5.075, 6.892 Å; angles 90.00, 90.00, 90.00 degrees
Sites, in units of the cell vectors:
1 Pr 0.000 0.000 0.000
2 Er 0.000 0.000 0.500
3 Er 0.500 0.500 0.000
4 Au 0.000 0.500 0.261
5 Au 0.000 0.500 0.739
6 Au 0.500 0.000 0.261
7 Au 0.500 0.000 0.739

Peak list (6 most intense, 10 to 90 degrees two-theta, most intense first)
- 2.485 Å, I = 100
- 2.537 Å, I = 54
- 1.455 Å, I = 38
- 1.794 Å, I = 19
- 1.425 Å, I = 17
- 1.243 Å, I = 11



2.
The following is a theoretical PXRD pattern of Ho2MnI8. It was derived from a structure optimized by DFT (PBE), using copper Kα.
Lines closer than 0.1° are merged.

Cell and atoms:
Cell lengths 11.038, 11.038, 11.155 Å; angles 92.85, 92.85, 21.21 degrees
Sites, in units of the cell vectors:
1 Ho 0.150 0.150 0.256
2 Ho 0.850 0.850 0.744
3 Mn 0.500 0.500 0.000
4 I 0.002 0.002 0.819
5 I 0.243 0.243 0.707
6 I 0.365 0.365 0.960
7 I 0.403 0.403 0.573
8 I 0.597 0.597 0.427
9 I 0.635 0.635 0.040
10 I 0.757 0.757 0.293
11 I 0.998 0.998 0.181

Peak list (6 most intense, 10 to 90 degrees two-theta, most intense first)
- 7.972 Å, I = 100
- 3.231 Å, I = 49
- 3.386 Å, I = 32
- 2.962 Å, I = 31
- 7.578 Å, I = 28
- 2.595 Å, I = 27



3.
The following is a theoretical PXRD pattern of Pr10NdEr6. It was derived from a structure optimized by DFT (PBE), using copper Kα.
Lines closer than 0.1° are merged.

Cell and atoms:
Cell lengths 9.908, 9.908, 6.953 Å; angles 90.00, 90.00, 120.00 degrees
Sites, in units of the cell vectors:
1 Pr 0.000 0.278 0.321
2 Pr 0.000 0.722 0.679
3 Pr 0.278 0.000 0.321
4 Pr 0.278 0.278 0.679
5 Pr 0.333 0.667 0.000
6 Pr 0.333 0.667 0.500
7 Pr 0.667 0.333 0.000
8 Pr 0.667 0.333 0.500
9 Pr 0.722 0.000 0.679
10 Pr 0.722 0.722 0.321
11 Nd 0.000 0.000 0.000
12 Er 0.000 0.367 0.816
13 Er 0.000 0.633 0.184
14 Er 0.367 0.000 0.816
15 Er 0.367 0.367 0.184
16 Er 0.633 0.000 0.184
17 Er 0.633 0.633 0.816

Peak list (6 most intense, 10 to 90 degrees two-theta, most intense first)
- 2.846 Å, I = 100
- 2.860 Å, I = 82
- 2.939 Å, I = 35
- 2.017 Å, I = 27
- 1.649 Å, I = 20
- 1.640 Å, I = 19



4.
The following is a theoretical PXRD pattern of Y3HoPd. It was derived from a structure optimized by DFT (PBE), using copper Kα.
Lines closer than 0.1° are merged.

Cell and atoms:
Cell lengths 6.391, 6.391, 13.886 Å; angles 114.50, 114.50, 33.90 degrees
Sites, in units of the cell vectors:
1 Y 0.000 0.000 0.000
2 Y 0.023 0.023 0.365
3 Y 0.325 0.325 0.764
4 Y 0.351 0.351 0.126
5 Y 0.678 0.678 0.238
6 Y 0.789 0.789 0.526
7 Ho 0.559 0.559 0.605
8 Ho 0.672 0.672 0.891
9 Pd 0.011 0.011 0.740
10 Pd 0.344 0.344 0.391

Peak list (6 most intense, 10 to 90 degrees two-theta, most intense first)
- 2.901 Å, I = 100
- 2.735 Å, I = 85
- 2.616 Å, I = 61
- 2.793 Å, I = 57
- 2.525 Å, I = 47
- 1.579 Å, I = 30



5.
The following is a theoretical PXRD pattern of AsPt. It was derived from a structure optimized by DFT (PBE), using copper Kα.
Lines closer than 0.1° are merged.

Cell and atoms:
Cell lengths 3.600, 11.432, 5.772 Å; angles 90.00, 90.00, 90.00 degrees
Sites, in units of the cell vectors:
1 As 0.000 0.000 0.000
2 As 0.000 0.310 0.995
3 As 0.000 0.690 0.995
4 As 0.500 0.190 0.495
5 As 0.500 0.500 0.500
6 As 0.500 0.810 0.495
7 Pt 0.000 0.336 0.569
8 Pt 0.000 0.500 0.190
9 Pt 0.000 0.664 0.569
10 Pt 0.500 0.000 0.690
11 Pt 0.500 0.164 0.069
12 Pt 0.500 0.836 0.069

Peak list (6 most intense, 10 to 90 degrees two-theta, most intense first)
- 1.939 Å, I = 100
- 3.434 Å, I = 84
- 3.180 Å, I = 81
- 2.694 Å, I = 71
- 2.087 Å, I = 62
- 2.886 Å, I = 57



6.
The following is a theoretical PXRD pattern of Ba5Ca2Ta3O15. It was derived from a structure optimized by DFT (PBE), using copper Kα.
Lines closer than 0.1° are merged.

Cell and atoms:
Cell lengths 10.452, 10.452, 10.452 Å; angles 99.52, 99.52, 132.00 degrees
Sites, in units of the cell vectors:
1 Ba 0.047 0.347 0.903
2 Ba 0.145 0.047 0.700
3 Ba 0.250 0.750 0.500
4 Ba 0.347 0.444 0.300
5 Ba 0.444 0.145 0.097
6 Ba 0.556 0.855 0.903
7 Ba 0.653 0.556 0.700
8 Ba 0.750 0.250 0.500
9 Ba 0.855 0.953 0.300
10 Ba 0.953 0.653 0.097
11 Ca 0.202 0.400 0.602
12 Ca 0.400 0.798 0.198
13 Ca 0.600 0.202 0.802
14 Ca 0.798 0.600 0.398
15 Ta 0.000 0.000 0.000
16 Ta 0.098 0.696 0.794
17 Ta 0.304 0.098 0.402
18 Ta 0.500 0.500 0.000
19 Ta 0.696 0.902 0.598
20 Ta 0.902 0.304 0.206
21 O 0.047 0.326 0.374
22 O 0.056 0.862 0.919
23 O 0.059 0.864 0.386
24 O 0.127 0.557 0.683
25 O 0.136 0.522 0.195
26 O 0.138 0.056 0.194
27 O 0.239 0.739 0.978
28 O 0.247 0.247 0.000
29 O 0.261 0.239 0.501
30 O 0.326 0.953 0.279
31 O 0.327 0.941 0.805
32 O 0.356 0.474 0.831
33 O 0.443 0.127 0.570
34 O 0.474 0.644 0.118
35 O 0.478 0.673 0.614
36 O 0.522 0.327 0.386
37 O 0.526 0.356 0.882
38 O 0.557 0.873 0.430
39 O 0.644 0.526 0.169
40 O 0.673 0.059 0.195
41 O 0.674 0.047 0.721
42 O 0.739 0.761 0.499
43 O 0.753 0.753 0.000
44 O 0.761 0.261 0.022
45 O 0.862 0.944 0.806
46 O 0.864 0.478 0.805
47 O 0.873 0.443 0.317
48 O 0.941 0.136 0.614
49 O 0.944 0.138 0.081
50 O 0.953 0.674 0.626

Peak list (6 most intense, 10 to 90 degrees two-theta, most intense first)
- 3.015 Å, I = 100
- 1.742 Å, I = 27
- 2.135 Å, I = 19
- 1.140 Å, I = 14
- 4.923 Å, I = 13
- 1.738 Å, I = 13



7.
The following is a theoretical PXRD pattern of LiCa3Sm2Se6. It was derived from a structure optimized by DFT (PBE), using copper Kα.
Lines closer than 0.1° are merged.

Cell and atoms:
Cell lengths 7.213, 7.213, 7.239 Å; angles 99.58, 99.58, 119.97 degrees
Sites, in units of the cell vectors:
1 Li 0.000 0.000 0.000
2 Ca 0.167 0.833 0.500
3 Ca 0.500 0.500 0.500
4 Ca 0.833 0.167 0.500
5 Sm 0.333 0.667 0.000
6 Sm 0.667 0.333 0.000
7 Se 0.082 0.412 0.246
8 Se 0.248 0.248 0.754
9 Se 0.412 0.082 0.246
10 Se 0.588 0.918 0.754
11 Se 0.752 0.752 0.246
12 Se 0.918 0.588 0.754

Peak list (6 most intense, 10 to 90 degrees two-theta, most intense first)
- 2.949 Å, I = 100
- 2.088 Å, I = 37
- 2.082 Å, I = 36
- 1.701 Å, I = 19
- 1.320 Å, I = 16
- 1.317 Å, I = 16



8.
The following is a theoretical PXRD pattern of Al2SnBi2. It was derived from a structure optimized by DFT (PBE), using copper Kα.
Lines closer than 0.1° are merged.

Cell and atoms:
Cell lengths 3.943, 3.943, 17.157 Å; angles 90.00, 90.00, 90.00 degrees
Sites, in units of the cell vectors:
1 Al 0.000 0.500 0.250
2 Al 0.000 0.500 0.750
3 Al 0.500 0.000 0.250
4 Al 0.500 0.000 0.750
5 Sn 0.000 0.000 0.000
6 Sn 0.500 0.500 0.500
7 Bi 0.000 0.000 0.391
8 Bi 0.000 0.000 0.609
9 Bi 0.500 0.500 0.109
10 Bi 0.500 0.500 0.891

Peak list (6 most intense, 10 to 90 degrees two-theta, most intense first)
- 2.588 Å, I = 100
- 3.246 Å, I = 68
- 2.788 Å, I = 53
- 1.568 Å, I = 45
- 3.843 Å, I = 40
- 8.578 Å, I = 31



9.
The following is a theoretical PXRD pattern of Pu4Rh2O. It was derived from a structure optimized by DFT (PBE), using copper Kα.
Lines closer than 0.1° are merged.

Cell and atoms:
Cell lengths 4.616, 4.616, 14.501 Å; angles 90.00, 90.00, 90.00 degrees
Sites, in units of the cell vectors:
1 Pu 0.000 0.000 0.188
2 Pu 0.000 0.000 0.812
3 Pu 0.000 0.500 0.000
4 Pu 0.000 0.500 0.500
5 Pu 0.500 0.000 0.000
6 Pu 0.500 0.000 0.500
7 Pu 0.500 0.500 0.312
8 Pu 0.500 0.500 0.688
9 Rh 0.000 0.000 0.373
10 Rh 0.000 0.000 0.627
11 Rh 0.500 0.500 0.127
12 Rh 0.500 0.500 0.873
13 O 0.000 0.000 0.000
14 O 0.500 0.500 0.500

Peak list (6 most intense, 10 to 90 degrees two-theta, most intense first)
- 2.976 Å, I = 100
- 2.308 Å, I = 55
- 2.426 Å, I = 40
- 2.456 Å, I = 34
- 1.353 Å, I = 24
- 1.431 Å, I = 24



10.
The following is a theoretical PXRD pattern of SiSn2Pt2. It was derived from a structure optimized by DFT (PBE), using copper Kα.
Lines closer than 0.1° are merged.

Cell and atoms:
Cell lengths 6.543, 6.543, 4.691 Å; angles 90.00, 90.00, 90.00 degrees
Sites, in units of the cell vectors:
1 Si 0.000 0.000 0.000
2 Si 0.500 0.500 0.000
3 Sn 0.169 0.331 0.500
4 Sn 0.331 0.831 0.500
5 Sn 0.669 0.169 0.500
6 Sn 0.831 0.669 0.500
7 Pt 0.158 0.658 0.000
8 Pt 0.342 0.158 0.000
9 Pt 0.658 0.842 0.000
10 Pt 0.842 0.342 0.000

Peak list (6 most intense, 10 to 90 degrees two-theta, most intense first)
- 2.483 Å, I = 100
- 2.346 Å, I = 20
- 1.503 Å, I = 17
- 1.379 Å, I = 16
- 2.069 Å, I = 16
- 3.272 Å, I = 14



11.
The following is a theoretical PXRD pattern of PmPuGaNi. It was derived from a structure optimized by DFT (PBE), using copper Kα.
Lines closer than 0.1° are merged.

Cell and atoms:
Cell lengths 7.076, 7.076, 7.076 Å; angles 90.00, 90.00, 90.00 degrees
Sites, in units of the cell vectors:
1 Pm 0.000 0.000 0.000
2 Pm 0.000 0.500 0.500
3 Pm 0.500 0.000 0.500
4 Pm 0.500 0.500 0.000
5 Pu 0.000 0.000 0.500
6 Pu 0.000 0.500 0.000
7 Pu 0.500 0.000 0.000
8 Pu 0.500 0.500 0.500
9 Ga 0.250 0.250 0.250
10 Ga 0.250 0.750 0.750
11 Ga 0.750 0.250 0.750
12 Ga 0.750 0.750 0.250
13 Ni 0.250 0.250 0.750
14 Ni 0.250 0.750 0.250
15 Ni 0.750 0.250 0.250
16 Ni 0.750 0.750 0.750

Peak list (6 most intense, 10 to 90 degrees two-theta, most intense first)
- 2.502 Å, I = 100
- 1.444 Å, I = 36
- 3.538 Å, I = 26
- 1.769 Å, I = 18
- 1.119 Å, I = 16
- 1.582 Å, I = 11



12.
The following is a theoretical PXRD pattern of La3Pu4N9. It was derived from a structure optimized by DFT (PBE), using copper Kα.
Lines closer than 0.1° are merged.

Cell and atoms:
Cell lengths 9.002, 9.002, 9.002 Å; angles 38.96, 38.96, 38.96 degrees
Sites, in units of the cell vectors:
1 La 0.000 0.000 0.000
2 La 0.170 0.170 0.170
3 La 0.576 0.576 0.576
4 Pu 0.304 0.304 0.304
5 Pu 0.431 0.431 0.431
6 Pu 0.739 0.739 0.739
7 Pu 0.867 0.867 0.867
8 N 0.001 0.167 0.586
9 N 0.046 0.613 0.419
10 N 0.144 0.741 0.567
11 N 0.167 0.586 0.001
12 N 0.419 0.046 0.613
13 N 0.567 0.144 0.741
14 N 0.586 0.001 0.167
15 N 0.613 0.419 0.046
16 N 0.741 0.567 0.144

Peak list (6 most intense, 10 to 90 degrees two-theta, most intense first)
- 3.002 Å, I = 100
- 2.938 Å, I = 81
- 2.099 Å, I = 37
- 1.720 Å, I = 36
- 1.733 Å, I = 24
- 2.035 Å, I = 24



Copy entry 11 word for word.
The following is a theoretical PXRD pattern of PmPuGaNi. It was derived from a structure optimized by DFT (PBE), using copper Kα.
Lines closer than 0.1° are merged.

Cell and atoms:
Cell lengths 7.076, 7.076, 7.076 Å; angles 90.00, 90.00, 90.00 degrees
Sites, in units of the cell vectors:
1 Pm 0.000 0.000 0.000
2 Pm 0.000 0.500 0.500
3 Pm 0.500 0.000 0.500
4 Pm 0.500 0.500 0.000
5 Pu 0.000 0.000 0.500
6 Pu 0.000 0.500 0.000
7 Pu 0.500 0.000 0.000
8 Pu 0.500 0.500 0.500
9 Ga 0.250 0.250 0.250
10 Ga 0.250 0.750 0.750
11 Ga 0.750 0.250 0.750
12 Ga 0.750 0.750 0.250
13 Ni 0.250 0.250 0.750
14 Ni 0.250 0.750 0.250
15 Ni 0.750 0.250 0.250
16 Ni 0.750 0.750 0.750

Peak list (6 most intense, 10 to 90 degrees two-theta, most intense first)
- 2.502 Å, I = 100
- 1.444 Å, I = 36
- 3.538 Å, I = 26
- 1.769 Å, I = 18
- 1.119 Å, I = 16
- 1.582 Å, I = 11



Number 9 is which compound?
Pu4Rh2O